# Na2Ni3RhF12
Simulated XRD peak list, CuKα. Input: the GGA+U geometry in Alexandria.
Peak positions follow from Bragg's law for the DFT cell and can differ from measured ones.

Main lines, by angle (15° ≤ 2θ ≤ 90°):
2θ (°), Rel. int., hkl
15.19, 100, 1 0 1
17.27, 14, 0 1 2
27.91, 35, 0 1 5
28.61, 14, 0 0 6
28.97, 45, 1 1 3
30.65, 63, 2 0 2
46.71, 15, 3 0 3
48.94, 24, 2 0 8
51.56, 30, 2 2 0
52.19, 15, 2 1 7

a b c (Å): 7.0897 7.0897 18.7199
angles (deg): 90.00 90.00 120.00
Space group R-3m (No. 166, hexagonal axes)
One atom of each set of equivalent atoms:
Na  0.0000  0.0000  0.0794 (multiplicity 6)
Ni  0.0000  0.5000  0.0000 (multiplicity 9)
Rh  0.0000  0.0000  0.5000 (multiplicity 3)
F  0.0495  0.5247  0.3611 (multiplicity 18)
F  0.0699  0.5350  0.1088 (multiplicity 18)